1.
For SrRuO3, a PBE-relaxed structure gives the computed powder diffraction line list in this record (Cu Kα).
Neutral-atom scattering factors, no anomalous dispersion.

Main lines, by intensity (2θ from 5° to 70°):
2θ/deg  Rel. int.  h k l
31.74  100.0  1 1 0
56.54  39.0  2 1 1
45.50  33.5  2 0 0
66.30  20.0  2 2 0
22.30  4.7  1 0 0
51.23  1.4  2 1 0
39.13  1.4  1 1 1

Structure:
a b c (Å): 3.987 3.987 3.987
angles (deg): 90.00 90.00 90.00
Fractional coordinates of all 5 atoms:
Sr: 0.000 0.000 0.000
Ru: 0.500 0.500 0.500
O: 0.000 0.500 0.500
O: 0.500 0.000 0.500
O: 0.500 0.500 0.000

2.
For GdBPd3, a PBE-relaxed structure gives the computed powder diffraction line list in this record (Cu Kα).
Neutral-atom scattering factors, no anomalous dispersion.

Main lines, by intensity (2θ from 5° to 70°):
2θ/deg  Rel. int.  h k l
36.13  100.0  1 1 1
41.97  52.5  2 0 0
60.85  34.4  2 2 0
29.34  3.5  1 1 0
20.63  1.7  1 0 0
52.03  1.4  2 1 1
47.20  1.0  2 1 0
68.97  0.6  3 1 0
64.98  0.5  3 0 0

Structure:
a b c (Å): 4.306 4.306 4.306
angles (deg): 90.00 90.00 90.00
Fractional coordinates of all 5 atoms:
Gd: 0.000 0.000 0.000
B: 0.500 0.500 0.500
Pd: 0.000 0.500 0.500
Pd: 0.500 0.000 0.500
Pd: 0.500 0.500 0.000